Entry 1:
Structure and computed XRD peak list of MgBi2O5 (DFT lattice parameters and positions (GGA-PBE); Cu Kα (λ = 1.5418 Å)).

Main lines, by intensity (2θ from 15° to 90°):
2θ 32.10, rel. 100
2θ 25.20, rel. 78
2θ 27.79, rel. 75
2θ 29.91, rel. 71
2θ 27.14, rel. 69
2θ 29.71, rel. 65

Structure:
```
MgBi2O5
1.0
3.676 0.000 0.000
-0.036 5.178 0.000
-0.030 -0.111 12.841
Mg Bi O
2 4 10
Cartesian
0.000 0.000 0.000
1.792 3.125 6.341
1.813 2.651 2.103
1.808 2.228 11.299
3.582 0.475 8.445
3.604 0.760 4.854
-0.033 1.177 11.199
1.765 1.806 4.760
1.738 4.819 7.346
1.822 1.263 0.388
1.796 1.989 9.211
1.812 4.220 11.700
3.606 1.083 2.784
3.591 3.930 5.167
3.609 1.892 6.777
3.632 3.528 1.065
```

***

Entry 2:
Structure and computed XRD peak list of MgBi2O5 (DFT lattice parameters and positions (GGA-PBE); Cu Kα (λ = 1.5418 Å)).

Main lines, by intensity (2θ from 15° to 90°):
2θ 23.62, rel. 100
2θ 28.30, rel. 91
2θ 17.37, rel. 81
2θ 31.91, rel. 51
2θ 23.34, rel. 39
2θ 30.09, rel. 37

Structure:
```
MgBi2O5
1.0
5.514 0.000 0.000
0.000 11.880 0.000
-3.280 0.000 8.047
Mg Bi O
4 8 20
Cartesian
-0.248 0.974 1.308
-1.888 4.966 5.331
4.122 6.914 2.715
2.482 10.906 6.738
1.696 7.422 0.346
0.056 10.398 4.370
-0.337 1.221 6.843
1.303 4.719 2.820
0.930 7.161 5.227
2.571 10.659 1.203
2.178 1.482 3.677
0.537 4.458 7.700
0.284 6.442 1.464
-1.356 11.378 5.488
-0.476 8.448 3.832
-2.116 9.371 7.856
1.345 0.276 0.097
-0.295 5.664 4.120
0.709 2.293 2.528
-0.931 3.647 6.551
-0.864 6.464 6.701
0.777 11.356 2.678
1.457 0.524 5.369
3.097 5.416 1.346
3.165 8.232 1.495
1.525 9.587 5.519
2.528 6.216 3.927
0.888 11.604 7.950
4.350 2.508 0.191
2.709 3.432 4.214
3.590 0.502 2.559
1.949 5.438 6.582
```

***

Entry 3:
Structure and computed XRD peak list of MgBi2O6 (DFT lattice parameters and positions (GGA-PBE); Cu Kα (λ = 1.5418 Å)).

Main lines, by intensity (2θ from 15° to 90°):
2θ 25.54, rel. 100
2θ 32.57, rel. 86
2θ 49.66, rel. 71
2θ 20.10, rel. 54
2θ 36.43, rel. 26
2θ 63.14, rel. 21

Structure:
```
MgBi2O6
1.0
4.932 0.000 0.000
0.000 4.932 0.000
0.000 0.000 9.932
Mg Bi O
2 4 12
Cartesian
0.000 0.000 0.000
2.466 2.466 4.966
0.000 0.000 3.307
0.000 0.000 6.625
2.466 2.466 1.659
2.466 2.466 8.273
0.943 0.943 1.631
0.943 0.943 8.301
0.973 0.973 4.966
1.493 3.440 0.000
1.523 3.409 3.335
1.523 3.409 6.598
3.409 1.523 3.335
3.409 1.523 6.598
3.440 1.493 0.000
3.959 3.959 4.966
3.989 3.989 1.631
3.989 3.989 8.301
```

***

Entry 4:
Structure and computed XRD peak list of Mg3BiO4 (DFT lattice parameters and positions (GGA-PBE); Cu Kα (λ = 1.5418 Å)).

Main lines, by intensity (2θ from 15° to 90°):
2θ 18.92, rel. 100
2θ 26.89, rel. 88
2θ 38.39, rel. 66
2θ 43.13, rel. 52
2θ 33.08, rel. 50
2θ 55.41, rel. 43

Structure:
```
Mg3BiO4
1.0
4.690 0.000 0.000
0.000 4.690 0.000
0.000 0.000 4.690
Mg Bi O
3 1 4
Cartesian
0.000 0.000 2.345
0.000 2.345 0.000
2.345 0.000 0.000
2.345 2.345 2.345
0.000 0.000 0.000
0.000 2.345 2.345
2.345 0.000 2.345
2.345 2.345 0.000
```

***

Entry 5:
Structure and computed XRD peak list of MgBiO3 (DFT lattice parameters and positions (GGA-PBE); Cu Kα (λ = 1.5418 Å)).

Main lines, by intensity (2θ from 15° to 90°):
2θ 31.00, rel. 100
2θ 22.14, rel. 75
2θ 21.43, rel. 42
2θ 55.98, rel. 25
2θ 55.59, rel. 24
2θ 31.35, rel. 24

Structure:
```
MgBiO3
1.0
5.707 0.000 0.000
0.000 8.293 0.000
0.000 0.000 5.652
Mg Bi O
4 4 12
Cartesian
0.161 2.073 0.090
2.693 6.220 2.916
3.014 2.073 2.736
5.546 6.220 5.562
0.000 0.000 2.826
0.000 4.146 2.826
2.853 0.000 0.000
2.853 4.146 0.000
0.684 6.220 3.650
0.935 4.801 0.911
0.935 7.638 0.911
1.918 0.655 3.737
1.918 3.492 3.737
2.170 2.073 0.824
3.537 6.220 4.827
3.789 4.801 1.915
3.789 7.638 1.915
4.771 0.655 4.740
4.771 3.492 4.740
5.023 2.073 2.002
```

***

Entry 6:
Structure and computed XRD peak list of Mg2Bi2O5 (DFT lattice parameters and positions (GGA-PBE); Cu Kα (λ = 1.5418 Å)).

Main lines, by intensity (2θ from 15° to 90°):
2θ 21.43, rel. 100
2θ 30.81, rel. 89
2θ 21.87, rel. 56
2θ 49.30, rel. 38
2θ 32.71, rel. 31
2θ 28.13, rel. 29

Structure:
```
Mg2Bi2O5
1.0
6.347 0.000 0.000
0.000 10.952 0.000
0.000 0.000 4.064
Mg Bi O
4 4 10
Cartesian
0.830 1.055 0.000
2.343 6.531 0.000
4.004 4.421 0.000
5.517 9.897 0.000
1.179 4.131 2.032
1.994 9.607 2.032
4.353 1.345 2.032
5.168 6.821 2.032
0.000 0.000 2.032
1.192 9.888 0.000
1.450 7.545 2.032
1.724 2.069 2.032
1.982 4.412 0.000
3.174 5.476 2.032
4.366 6.540 0.000
4.623 8.883 2.032
4.898 3.407 2.032
5.155 1.064 0.000
```

***

Entry 7:
Structure and computed XRD peak list of Mg4Bi9O18 (DFT lattice parameters and positions (GGA-PBE); Cu Kα (λ = 1.5418 Å)).

Main lines, by intensity (2θ from 15° to 90°):
2θ 28.05, rel. 100
2θ 28.38, rel. 82
2θ 33.11, rel. 81
2θ 21.09, rel. 73
2θ 27.17, rel. 66
2θ 27.07, rel. 64

Structure:
```
Mg4Bi9O18
1.0
8.713 0.000 0.000
-2.530 8.415 0.000
-3.120 -4.182 7.151
Mg Bi O
4 9 18
Cartesian
0.000 0.000 0.000
-2.059 5.347 2.111
0.856 2.052 4.846
3.444 6.678 1.469
-1.740 1.553 2.236
-0.803 -0.951 4.812
-1.998 3.790 5.702
0.851 3.682 1.183
3.081 0.245 2.122
0.595 5.781 4.283
4.916 3.582 0.117
3.657 3.920 3.713
4.608 0.830 5.583
-1.255 4.236 0.668
-2.888 4.171 3.541
-2.637 -0.757 5.908
-3.853 4.412 6.401
0.244 1.669 1.230
-0.705 1.083 4.029
-0.549 6.574 2.665
0.282 3.729 3.514
1.221 -2.622 5.571
0.084 0.284 6.323
1.833 7.662 0.729
3.210 2.728 1.959
2.678 0.008 5.240
2.744 5.700 3.068
2.344 3.253 5.481
4.859 0.440 3.380
4.977 5.474 1.057
7.316 -0.330 1.400
```